No. 1
For Cs2TlZn2O4, a cell relaxed with GGA-PBE gives the simulated X-ray powder pattern in this record (Cu Kα (weighted mean of Kα1 and Kα2)).
Lines closer than 0.1° are merged.

Cell and atoms:
```
data_Cs2TlZn2O4
_chemical_formula_sum 'Cs2 Tl1 Zn2 O4'
_cell_length_a 7.875
_cell_length_b 7.875
_cell_length_c 6.743
_cell_angle_alpha 103.89
_cell_angle_beta 103.89
_cell_angle_gamma 26.53
_space_group_name_H-M_alt 'P 1'
_space_group_IT_number 1
_space_group_name_Hall 'P 1'
loop_
_atom_site_label
_atom_site_fract_x
_atom_site_fract_y
_atom_site_fract_z
Cs1 0.133 0.133 0.047
Cs2 0.867 0.867 0.953
Tl1 0.000 0.000 0.500
Zn1 0.320 0.320 0.489
Zn2 0.680 0.680 0.511
O1 0.219 0.219 0.653
O2 0.444 0.444 0.671
O3 0.556 0.556 0.329
O4 0.781 0.781 0.347
```

Most intense lines, 2θ from 10° to 90°, by intensity:
| d/Å | two_theta | intensity |
| --- | --- | --- |
| 2.532 | 35.46 | 100 |
| 2.823 | 31.70 | 91 |
| 3.267 | 27.30 | 76 |
| 3.637 | 24.47 | 54 |
| 3.512 | 25.36 | 54 |
| 2.933 | 30.48 | 47 |
| 2.465 | 36.45 | 47 |
| 1.635 | 56.26 | 33 |

***

No. 2
For Zn2In2Pt, a cell relaxed with GGA-PBE gives the simulated X-ray powder pattern in this record (Cu Kα (weighted mean of Kα1 and Kα2)).
Lines closer than 0.1° are merged.

Cell and atoms:
```
data_Zn2In2Pt
_chemical_formula_sum 'Zn4 In4 Pt2'
_cell_length_a 6.738
_cell_length_b 6.738
_cell_length_c 4.253
_cell_angle_alpha 90.00
_cell_angle_beta 90.00
_cell_angle_gamma 90.00
_space_group_name_H-M_alt 'P 1'
_space_group_IT_number 1
_space_group_name_Hall 'P 1'
loop_
_atom_site_label
_atom_site_fract_x
_atom_site_fract_y
_atom_site_fract_z
Zn1 0.136 0.364 0.000
Zn2 0.364 0.864 0.000
Zn3 0.636 0.136 0.000
Zn4 0.864 0.636 0.000
In1 0.173 0.673 0.500
In2 0.327 0.173 0.500
In3 0.673 0.827 0.500
In4 0.827 0.327 0.500
Pt1 0.000 0.000 0.000
Pt2 0.500 0.500 0.000
```

Most intense lines, 2θ from 10° to 90°, by intensity:
| d/Å | two_theta | intensity |
| --- | --- | --- |
| 2.459 | 36.55 | 100 |
| 2.129 | 42.46 | 95 |
| 2.641 | 33.95 | 73 |
| 1.505 | 61.61 | 49 |
| 3.173 | 28.12 | 42 |
| 2.382 | 37.76 | 22 |
| 1.905 | 47.74 | 16 |
| 1.262 | 75.31 | 14 |

***

No. 3
For Sm4ErSe6, a cell relaxed with GGA-PBE gives the simulated X-ray powder pattern in this record (Cu Kα (weighted mean of Kα1 and Kα2)).
Lines closer than 0.1° are merged.

Cell and atoms:
```
data_Sm4ErSe6
_chemical_formula_sum 'Sm8 Er2 Se12'
_cell_length_a 7.142
_cell_length_b 7.142
_cell_length_c 21.100
_cell_angle_alpha 90.00
_cell_angle_beta 90.00
_cell_angle_gamma 147.21
_space_group_name_H-M_alt 'P 1'
_space_group_IT_number 1
_space_group_name_Hall 'P 1'
loop_
_atom_site_label
_atom_site_fract_x
_atom_site_fract_y
_atom_site_fract_z
Sm1 0.088 0.912 0.629
Sm2 0.088 0.912 0.871
Sm3 0.359 0.641 0.539
Sm4 0.359 0.641 0.961
Sm5 0.641 0.359 0.039
Sm6 0.641 0.359 0.461
Sm7 0.912 0.088 0.129
Sm8 0.912 0.088 0.371
Er1 0.153 0.847 0.250
Er2 0.847 0.153 0.750
Se1 0.000 0.000 0.000
Se2 0.000 0.000 0.500
Se3 0.197 0.803 0.750
Se4 0.271 0.729 0.091
Se5 0.271 0.729 0.409
Se6 0.443 0.557 0.669
Se7 0.443 0.557 0.831
Se8 0.557 0.443 0.169
Se9 0.557 0.443 0.331
Se10 0.729 0.271 0.591
Se11 0.729 0.271 0.909
Se12 0.803 0.197 0.250
```

Most intense lines, 2θ from 10° to 90°, by intensity:
| d/Å | two_theta | intensity |
| --- | --- | --- |
| 2.906 | 30.77 | 100 |
| 2.777 | 32.23 | 63 |
| 3.593 | 24.78 | 57 |
| 2.179 | 41.44 | 46 |
| 3.128 | 28.53 | 40 |
| 2.992 | 29.86 | 39 |
| 2.016 | 44.97 | 37 |
| 2.083 | 43.45 | 31 |

***

No. 4
For Sc3Se, a cell relaxed with GGA-PBE gives the simulated X-ray powder pattern in this record (Cu Kα (weighted mean of Kα1 and Kα2)).
Lines closer than 0.1° are merged.

Cell and atoms:
```
data_Sc3Se
_chemical_formula_sum 'Sc12 Se4'
_cell_length_a 8.361
_cell_length_b 8.361
_cell_length_c 8.361
_cell_angle_alpha 96.08
_cell_angle_beta 96.08
_cell_angle_gamma 142.02
_space_group_name_H-M_alt 'P 1'
_space_group_IT_number 1
_space_group_name_Hall 'P 1'
loop_
_atom_site_label
_atom_site_fract_x
_atom_site_fract_y
_atom_site_fract_z
Sc1 0.067 0.029 0.608
Sc2 0.113 0.443 0.605
Sc3 0.156 0.346 0.977
Sc4 0.370 0.179 0.023
Sc5 0.421 0.459 0.392
Sc6 0.492 0.887 0.330
Sc7 0.541 0.933 0.962
Sc8 0.557 0.162 0.670
Sc9 0.654 0.630 0.810
Sc10 0.821 0.844 0.190
Sc11 0.838 0.508 0.395
Sc12 0.971 0.579 0.038
Se1 0.076 0.730 0.744
Se2 0.270 0.015 0.346
Se3 0.669 0.924 0.654
Se4 0.985 0.331 0.256
```

Most intense lines, 2θ from 10° to 90°, by intensity:
| d/Å | two_theta | intensity |
| --- | --- | --- |
| 2.427 | 37.04 | 100 |
| 2.573 | 34.87 | 74 |
| 2.500 | 35.92 | 72 |
| 2.156 | 41.90 | 71 |
| 2.694 | 33.25 | 66 |
| 2.635 | 34.02 | 58 |
| 2.193 | 41.17 | 57 |
| 2.241 | 40.24 | 55 |

***

No. 5
For HoP2Pd4, a cell relaxed with GGA-PBE gives the simulated X-ray powder pattern in this record (Cu Kα (weighted mean of Kα1 and Kα2)).
Lines closer than 0.1° are merged.

Cell and atoms:
```
data_HoP2Pd4
_chemical_formula_sum 'Ho2 P4 Pd8'
_cell_length_a 7.789
_cell_length_b 7.789
_cell_length_c 3.734
_cell_angle_alpha 90.00
_cell_angle_beta 90.00
_cell_angle_gamma 90.00
_space_group_name_H-M_alt 'P 1'
_space_group_IT_number 1
_space_group_name_Hall 'P 1'
loop_
_atom_site_label
_atom_site_fract_x
_atom_site_fract_y
_atom_site_fract_z
Ho1 0.000 0.000 0.000
Ho2 0.500 0.500 0.500
P1 0.224 0.224 0.500
P2 0.276 0.724 0.000
P3 0.724 0.276 0.000
P4 0.776 0.776 0.500
Pd1 0.070 0.684 0.500
Pd2 0.184 0.430 0.000
Pd3 0.316 0.930 0.500
Pd4 0.430 0.184 0.000
Pd5 0.570 0.816 0.000
Pd6 0.684 0.070 0.500
Pd7 0.816 0.570 0.000
Pd8 0.930 0.316 0.500
```

Most intense lines, 2θ from 10° to 90°, by intensity:
| d/Å | two_theta | intensity |
| --- | --- | --- |
| 2.547 | 35.23 | 100 |
| 2.463 | 36.48 | 36 |
| 2.056 | 44.04 | 19 |
| 1.438 | 64.86 | 19 |
| 1.867 | 48.77 | 17 |
| 2.216 | 40.71 | 16 |
| 1.889 | 48.17 | 16 |
| 1.488 | 62.41 | 15 |

***

No. 6
For Er2Ni12As7, a cell relaxed with GGA-PBE gives the simulated X-ray powder pattern in this record (Cu Kα (weighted mean of Kα1 and Kα2)).
Lines closer than 0.1° are merged.

Cell and atoms:
```
data_Er2Ni12As7
_chemical_formula_sum 'Er2 Ni12 As7'
_cell_length_a 9.355
_cell_length_b 9.355
_cell_length_c 3.830
_cell_angle_alpha 90.00
_cell_angle_beta 90.00
_cell_angle_gamma 120.00
_space_group_name_H-M_alt 'P 1'
_space_group_IT_number 1
_space_group_name_Hall 'P 1'
loop_
_atom_site_label
_atom_site_fract_x
_atom_site_fract_y
_atom_site_fract_z
Er1 0.000 0.000 0.000
Er2 0.333 0.667 0.500
Ni1 0.044 0.759 0.500
Ni2 0.106 0.391 0.000
Ni3 0.241 0.285 0.500
Ni4 0.285 0.894 0.000
Ni5 0.386 0.205 0.000
Ni6 0.552 0.124 0.500
Ni7 0.572 0.448 0.500
Ni8 0.609 0.715 0.000
Ni9 0.715 0.956 0.500
Ni10 0.795 0.181 0.000
Ni11 0.819 0.614 0.000
Ni12 0.876 0.428 0.500
As1 0.071 0.620 0.000
As2 0.259 0.035 0.500
As3 0.380 0.451 0.000
As4 0.549 0.929 0.000
As5 0.667 0.333 0.000
As6 0.777 0.741 0.500
As7 0.965 0.223 0.500
```

Most intense lines, 2θ from 10° to 90°, by intensity:
| d/Å | two_theta | intensity |
| --- | --- | --- |
| 2.392 | 37.61 | 100 |
| 1.915 | 47.48 | 25 |
| 1.768 | 51.70 | 24 |
| 1.938 | 46.88 | 19 |
| 1.672 | 54.91 | 17 |
| 1.299 | 72.81 | 17 |
| 2.783 | 32.16 | 15 |
| 2.701 | 33.17 | 13 |

***

Please write out number 3 again, unchanged.
For Sm4ErSe6, a cell relaxed with GGA-PBE gives the simulated X-ray powder pattern in this record (Cu Kα (weighted mean of Kα1 and Kα2)).
Lines closer than 0.1° are merged.

Cell and atoms:
```
data_Sm4ErSe6
_chemical_formula_sum 'Sm8 Er2 Se12'
_cell_length_a 7.142
_cell_length_b 7.142
_cell_length_c 21.100
_cell_angle_alpha 90.00
_cell_angle_beta 90.00
_cell_angle_gamma 147.21
_space_group_name_H-M_alt 'P 1'
_space_group_IT_number 1
_space_group_name_Hall 'P 1'
loop_
_atom_site_label
_atom_site_fract_x
_atom_site_fract_y
_atom_site_fract_z
Sm1 0.088 0.912 0.629
Sm2 0.088 0.912 0.871
Sm3 0.359 0.641 0.539
Sm4 0.359 0.641 0.961
Sm5 0.641 0.359 0.039
Sm6 0.641 0.359 0.461
Sm7 0.912 0.088 0.129
Sm8 0.912 0.088 0.371
Er1 0.153 0.847 0.250
Er2 0.847 0.153 0.750
Se1 0.000 0.000 0.000
Se2 0.000 0.000 0.500
Se3 0.197 0.803 0.750
Se4 0.271 0.729 0.091
Se5 0.271 0.729 0.409
Se6 0.443 0.557 0.669
Se7 0.443 0.557 0.831
Se8 0.557 0.443 0.169
Se9 0.557 0.443 0.331
Se10 0.729 0.271 0.591
Se11 0.729 0.271 0.909
Se12 0.803 0.197 0.250
```

Most intense lines, 2θ from 10° to 90°, by intensity:
| d/Å | two_theta | intensity |
| --- | --- | --- |
| 2.906 | 30.77 | 100 |
| 2.777 | 32.23 | 63 |
| 3.593 | 24.78 | 57 |
| 2.179 | 41.44 | 46 |
| 3.128 | 28.53 | 40 |
| 2.992 | 29.86 | 39 |
| 2.016 | 44.97 | 37 |
| 2.083 | 43.45 | 31 |